Record 1
Diffraction record for CePm2NdTm5. The PXRD pattern is calculated, not measured: it uses a GGA-PBE-relaxed structure and Cu Ka.
Intensities are scaled so that the largest is 100.

Structural model:
Lattice parameters (Å, degrees): 9.8003 9.8003 9.8003 127.64 127.64 77.21
Atoms (fractional coordinates):
Ce: 0.2500 0.7500 0.5000
Ce: 0.7500 0.2500 0.5000
Pm: 0.1184 0.6184 0.7367
Pm: 0.3816 0.1184 0.5000
Pm: 0.6184 0.8816 0.5000
Pm: 0.8816 0.3816 0.2633
Nd: 0.2500 0.2500 0.0000
Nd: 0.7500 0.7500 0.0000
Tm: 0.0000 0.0000 0.0000
Tm: 0.0674 0.1571 0.5000
Tm: 0.1571 0.6571 0.0897
Tm: 0.3429 0.4326 0.5000
Tm: 0.4326 0.9326 0.0897
Tm: 0.5000 0.5000 0.0000
Tm: 0.5674 0.0674 0.9103
Tm: 0.6571 0.5674 0.5000
Tm: 0.8429 0.3429 0.9103
Tm: 0.9326 0.8429 0.5000

The 8 most intense peaks (2θ = 5–70°), low angle first:
2theta, I (rel.)
28.96, 57
29.21, 50
31.20, 100
32.75, 17
37.97, 17
43.53, 21
46.83, 14
53.06, 19



Record 2
Diffraction record for CePm2Nd6Y. The PXRD pattern is calculated, not measured: it uses a GGA-PBE-relaxed structure and Cu Ka.
Intensities are scaled so that the largest is 100.

Structural model:
Lattice parameters (Å, degrees): 6.8312 6.8312 10.1207 118.50 118.50 63.38
Atoms (fractional coordinates):
Ce: 0.0000 0.0000 0.0000
Pm: 0.3551 0.3551 0.8268
Pm: 0.6449 0.6449 0.1732
Nd: 0.1622 0.6012 0.1949
Nd: 0.2840 0.2840 0.4451
Nd: 0.3988 0.8378 0.8051
Nd: 0.6012 0.1622 0.1949
Nd: 0.7160 0.7160 0.5549
Nd: 0.8378 0.3988 0.8051
Y: 0.0000 0.0000 0.5000

The 8 most intense peaks (2θ = 5–70°), low angle first:
2theta, I (rel.)
26.01, 27
29.25, 100
30.31, 45
30.53, 84
30.92, 33
31.26, 52
32.04, 34
32.82, 75



Record 3
Diffraction record for CePmNd6Y2. The PXRD pattern is calculated, not measured: it uses a GGA-PBE-relaxed structure and Cu Ka.
Intensities are scaled so that the largest is 100.

Structural model:
Lattice parameters (Å, degrees): 6.6952 6.6952 8.9666 101.27 101.27 63.33
Atoms (fractional coordinates):
Ce: 0.0000 0.0000 0.0000
Pm: 0.5000 0.5000 0.5000
Nd: 0.0961 0.5668 0.2011
Nd: 0.1293 0.1293 0.4170
Nd: 0.4332 0.9039 0.7989
Nd: 0.5668 0.0961 0.2011
Nd: 0.8707 0.8707 0.5830
Nd: 0.9039 0.4332 0.7989
Y: 0.4060 0.4060 0.8394
Y: 0.5940 0.5940 0.1606

The 8 most intense peaks (2θ = 5–70°), low angle first:
2theta, I (rel.)
27.09, 27
28.79, 44
30.10, 41
30.60, 100
31.08, 31
32.57, 32
32.72, 54
33.04, 30



Record 4
Diffraction record for CePr8Nd5. The PXRD pattern is calculated, not measured: it uses a GGA-PBE-relaxed structure and Cu Ka.
Intensities are scaled so that the largest is 100.

Structural model:
Lattice parameters (Å, degrees): 8.4418 8.4562 9.0187 63.59 63.80 87.02
Atoms (fractional coordinates):
Ce: 0.0000 0.0000 0.0000
Pr: 0.0616 0.4685 0.8374
Pr: 0.2185 0.2436 0.1585
Pr: 0.2785 0.7193 0.0010
Pr: 0.5314 0.9389 0.1619
Pr: 0.5566 0.6056 0.6535
Pr: 0.7307 0.1050 0.3578
Pr: 0.7558 0.7811 0.8442
Pr: 0.8982 0.2683 0.6390
Nd: 0.0451 0.7702 0.4034
Nd: 0.2305 0.9547 0.5966
Nd: 0.3907 0.4447 0.3521
Nd: 0.4448 0.1734 0.7385
Nd: 0.8237 0.5562 0.2631

The 8 most intense peaks (2θ = 5–70°), low angle first:
2theta, I (rel.)
30.07, 45
30.23, 100
30.85, 51
32.50, 15
32.88, 87
39.44, 16
46.85, 15
52.76, 20